Starting from a cell relaxed with PBE, the powder XRD pattern of K4TlO3 was calculated for a wavelength of 1.5418 Å.
No peak broadening, texture or thermal motion is included.

Peak list (8 most intense, 2θ = 10–80°, sorted by position)
- 15.29°, rel. 78
- 16.37°, rel. 93
- 19.48°, rel. 59
- 19.74°, rel. 100
- 29.20°, rel. 58
- 30.30°, rel. 92
- 30.58°, rel. 99
- 31.61°, rel. 91

Atomic structure:
```
16
Lattice="6.3205 -3.3673 0.0000 6.3205 3.3673 0.0000 -3.9759 0.0000 9.0169" Properties=species:S:1:pos:R:3 pbc="T T T"
K 3.4853 1.9377 0.9016
K 1.2525 1.0697 3.6522
K 4.3325 2.3537 4.5085
K 1.9201 1.1166 7.2648
K -0.7354 -1.0697 8.1607
K 3.9080 -1.1166 2.7564
K 1.4974 -1.9377 5.4100
K 6.3205 -2.3537 0.0000
Tl 6.9945 1.1359 2.0310
Tl 5.0065 -1.1359 6.5395
O -0.2388 0.3795 5.7877
O 1.7491 -0.3795 1.2792
O 5.5215 0.0305 0.7202
O 3.5335 -0.0305 5.2286
O 6.7361 0.0084 7.4814
O 8.7240 -0.0084 2.9729
```



Starting from a cell relaxed with PBE, the powder XRD pattern of K5Tl2O5 was calculated for a wavelength of 1.5418 Å.
No peak broadening, texture or thermal motion is included.

Peak list (8 most intense, 2θ = 10–80°, sorted by position)
- 14.86°, rel. 63
- 19.26°, rel. 57
- 24.67°, rel. 43
- 28.97°, rel. 39
- 29.96°, rel. 34
- 32.67°, rel. 33
- 33.82°, rel. 100
- 48.06°, rel. 31

Atomic structure:
```
12
Lattice="6.2342 -1.8933 0.0000 6.2342 1.8933 0.0000 -3.1415 0.0000 10.2519" Properties=species:S:1:pos:R:3 pbc="T T T"
K 0.0000 0.0000 0.0000
K 0.2157 0.0000 5.7327
K 0.4320 0.0000 8.8818
K 8.8950 0.0000 1.3701
K 9.1113 0.0000 4.5193
Tl 3.6510 0.0000 7.2675
Tl 5.6760 0.0000 2.9844
O 0.8603 0.0000 3.0538
O 4.5300 0.0000 1.1292
O 4.6635 0.0000 5.1260
O 4.7969 0.0000 9.1227
O 8.4666 0.0000 7.1981
```



Starting from a cell relaxed with PBE, the powder XRD pattern of K8TlO6 was calculated for a wavelength of 1.5418 Å.
No peak broadening, texture or thermal motion is included.

Peak list (8 most intense, 2θ = 10–80°, sorted by position)
- 13.54°, rel. 53
- 14.01°, rel. 100
- 15.85°, rel. 57
- 26.58°, rel. 53
- 26.84°, rel. 98
- 27.27°, rel. 56
- 28.23°, rel. 98
- 46.22°, rel. 49

Atomic structure:
```
30
Lattice="7.7115 0.0000 0.0000 0.0000 8.1156 0.0000 0.0000 0.0000 11.0473" Properties=species:S:1:pos:R:3 pbc="T T T"
K 0.0000 1.3463 1.7464
K 0.0000 1.5861 7.7580
K 1.5832 5.5432 9.0175
K 1.5982 4.7069 5.5237
K 1.6651 7.8537 5.2070
K 2.1907 0.2620 10.7307
K 2.2576 3.4088 0.0000
K 2.2725 2.5725 3.4938
K 3.8558 6.5295 2.2343
K 3.8558 6.7693 7.2701
K 5.4390 2.5725 3.4938
K 5.4540 3.4088 0.0000
K 5.5208 0.2620 10.7307
K 6.0465 7.8537 5.2070
K 6.1133 4.7069 5.5237
K 6.1283 5.5432 9.0175
Tl 0.0000 5.7298 1.9190
Tl 3.8558 2.3858 7.4426
O 0.0000 1.9863 10.3684
O 0.0000 3.8158 3.0623
O 0.0000 6.3683 7.0284
O 0.0000 7.4953 3.2765
O 1.7528 5.9161 0.5727
O 2.1029 2.1996 6.0964
O 3.8558 0.6203 8.8001
O 3.8558 1.7474 1.5047
O 3.8558 4.2998 8.5860
O 3.8558 6.1293 4.8447
O 5.6086 2.1996 6.0964
O 5.9587 5.9161 0.5727
```



Starting from a cell relaxed with PBE, the powder XRD pattern of K14Tl2O9 was calculated for a wavelength of 1.5418 Å.
No peak broadening, texture or thermal motion is included.

Peak list (8 most intense, 2θ = 10–80°, sorted by position)
- 15.38°, rel. 100
- 27.53°, rel. 38
- 27.88°, rel. 35
- 28.06°, rel. 77
- 35.97°, rel. 41
- 39.85°, rel. 43
- 40.34°, rel. 48
- 54.95°, rel. 15

Atomic structure:
```
25
Lattice="7.8364 0.0000 0.0000 -3.9182 6.7865 0.0000 0.0000 0.0000 10.8883" Properties=species:S:1:pos:R:3 pbc="T T T"
K 0.0000 0.0000 2.7176
K 0.0000 0.0000 8.1707
K -2.3990 4.5689 4.4385
K -0.9726 2.5702 1.0159
K -1.2060 6.3437 1.0159
K 1.1609 2.4244 4.4385
K 2.6801 0.2068 6.4499
K 1.7396 2.1274 9.8724
K 2.1786 4.6591 1.0159
K 1.2381 6.5797 4.4385
K 2.7573 4.3621 6.4499
K 5.1242 0.4428 9.8724
K 4.8908 4.2163 9.8724
K 6.3172 2.2176 6.4499
Tl 0.0000 4.5244 8.3322
Tl 3.9182 2.2622 2.5561
O 0.0000 0.0000 5.4442
O -0.9618 2.4126 9.1298
O -1.3480 6.4132 9.1298
O 0.0000 4.5244 5.8984
O 1.6084 2.0392 1.7585
O 2.3098 4.7473 9.1298
O 3.9182 2.2622 4.9899
O 5.2662 0.3733 1.7585
O 4.8800 4.3740 1.7585
```



Starting from a cell relaxed with PBE, the powder XRD pattern of K3Tm2TlO6 was calculated for a wavelength of 1.5418 Å.
No peak broadening, texture or thermal motion is included.

Peak list (8 most intense, 2θ = 10–80°, sorted by position)
- 14.14°, rel. 100
- 28.50°, rel. 33
- 30.39°, rel. 39
- 31.51°, rel. 71
- 35.70°, rel. 90
- 49.42°, rel. 32
- 53.28°, rel. 28
- 61.53°, rel. 24

Atomic structure:
```
12
Lattice="2.9784 -5.1577 0.0000 2.9784 5.1577 0.0000 -1.9811 0.0000 6.2634" Properties=species:S:1:pos:R:3 pbc="T T T"
K 0.0000 0.0000 0.0000
K 2.9784 1.6849 0.0000
K 2.9784 -1.6849 0.0000
Tm 1.9879 3.4360 3.1317
Tm 1.9879 -3.4360 3.1317
Tl 1.9879 0.0000 3.1317
O 0.9553 1.7874 1.9414
O -0.0742 0.0000 4.3182
O 0.9553 -1.7874 1.9414
O 3.0204 1.7874 4.3220
O 4.0500 0.0000 1.9452
O 3.0204 -1.7874 4.3220
```



Starting from a cell relaxed with PBE, the powder XRD pattern of K2U2TlO7 was calculated for a wavelength of 1.5418 Å.
No peak broadening, texture or thermal motion is included.

Peak list (8 most intense, 2θ = 10–80°, sorted by position)
- 23.71°, rel. 23
- 28.71°, rel. 100
- 29.02°, rel. 54
- 40.59°, rel. 14
- 41.50°, rel. 29
- 50.67°, rel. 22
- 51.24°, rel. 42
- 59.45°, rel. 18

Atomic structure:
```
12
Lattice="-2.1759 2.1759 11.1118 2.1759 -2.1759 11.1118 2.1759 2.1759 -11.1118" Properties=species:S:1:pos:R:3 pbc="T T T"
K 0.0000 0.0000 4.2564
K 0.0000 0.0000 17.9671
U 0.0000 0.0000 8.9379
U 0.0000 0.0000 13.2856
Tl 0.0000 0.0000 0.0000
O 2.1759 0.0000 2.1885
O 0.0000 0.0000 6.9736
O 2.1759 0.0000 8.9233
O 0.0000 0.0000 11.1118
O 0.0000 2.1759 2.1885
O 0.0000 0.0000 15.2499
O 0.0000 2.1759 8.9233
```